Structure and simulated PXRD pattern of Mg2Mn3NiS8 (a crystal structure in the Materials Project, relaxed with PBE; Cu Kα X-rays).

Atomic structure:
Lattice parameters (Å, degrees): 7.1877 7.1877 17.6568 90.00 90.00 120.00
Space group R-3m (No. 166, hexagonal axes)
Unique sites:
Mg 0.0000 0.0000 0.1233 [6 per cell]
Mn 0.0000 0.5000 0.0000 [9 per cell]
Ni 0.0000 0.0000 0.5000 [3 per cell]
S 0.0000 0.0000 0.2612 [6 per cell]
S 0.0391 0.5196 0.2541 [18 per cell]

Main lines, sorted by position (5 to 70 degrees two-theta):
2θ/deg, intensity
15.1, 83.8
29.1, 73.6
35.3, 100.0
46.4, 35.9
50.7, 47.8
50.8, 46.0